# 1
Diffraction record for Ti6HCO. The XRD peak list is simulated, not measured: it uses the GGA-PBE geometry in Alexandria and a wavelength of 1.5418 Å.
Neutral-atom scattering factors, no anomalous dispersion.

Peak list (12 most intense, 10° ≤ 2θ ≤ 90°, sorted by position)
2θ/deg  I/Imax
36.11  42.0
38.83  100.0
40.55  25.0
50.58  10.1
51.99  15.8
59.97  8.0
63.72  15.0
66.75  17.8
72.05  9.0
75.48  7.9
79.43  8.5
83.33  6.4

Structural model:
```
Ti6HCO
1.0
4.975 0.000 0.000
0.000 4.975 0.000
0.000 0.000 9.255
Ti H C O
12 2 2 2
Cartesian
1.026 1.026 0.000
1.032 1.032 6.021
1.034 1.034 3.001
1.453 3.521 7.628
1.455 3.520 1.393
1.461 3.514 4.627
3.514 1.461 4.627
3.520 1.455 1.393
3.521 1.453 7.628
3.941 3.941 3.001
3.942 3.942 6.021
3.948 3.948 0.000
0.000 0.000 7.616
2.487 2.487 2.988
0.000 0.000 1.511
2.487 2.487 6.138
0.000 0.000 4.508
2.487 2.487 9.135
```

# 2
Diffraction record for La4NdY10. The XRD peak list is simulated, not measured: it uses the GGA-PBE geometry in Alexandria and a wavelength of 1.5418 Å.
Neutral-atom scattering factors, no anomalous dispersion.

Peak list (12 most intense, 10° ≤ 2θ ≤ 90°, sorted by position)
2θ/deg  I/Imax
26.35  80.1
28.44  100.0
28.70  76.6
32.12  79.7
33.23  94.8
33.89  51.3
38.00  24.1
41.52  26.2
44.46  49.1
53.74  23.0
57.63  23.6
59.29  21.2

Structural model:
```
La4NdY10
1.0
-4.919 4.919 5.402
4.919 -4.919 5.402
4.919 4.919 -5.402
La Nd Y
4 1 10
Cartesian
6.546 0.631 0.000
0.631 3.292 0.000
4.288 1.627 5.402
-1.627 4.288 5.402
0.000 0.000 0.000
3.780 2.878 -1.722
2.041 -1.139 3.680
4.919 0.000 2.701
3.780 2.878 1.722
2.878 6.058 -1.722
2.041 -1.139 7.125
1.139 2.041 3.680
0.000 4.919 2.701
2.878 6.058 1.722
1.139 2.041 7.125
```

# 3
Diffraction record for La9PmAl2. The XRD peak list is simulated, not measured: it uses the GGA-PBE geometry in Alexandria and a wavelength of 1.5418 Å.
Neutral-atom scattering factors, no anomalous dispersion.

Peak list (12 most intense, 10° ≤ 2θ ≤ 90°, sorted by position)
2θ/deg  I/Imax
30.56  100.0
35.09  16.1
35.61  33.9
50.85  22.4
51.24  12.0
60.16  12.0
60.85  27.8
63.62  11.4
82.89  9.7
83.50  5.7
85.96  5.0
86.26  5.4

Structural model:
```
La9PmAl2
1.0
5.043 0.000 0.000
0.000 5.043 0.000
0.000 0.000 15.345
La Pm Al
9 1 2
Cartesian
0.000 0.000 0.000
0.000 0.000 5.244
0.000 0.000 10.102
0.000 2.521 2.730
0.000 2.521 7.673
0.000 2.521 12.616
2.521 0.000 2.730
2.521 0.000 7.673
2.521 0.000 12.616
2.521 2.521 0.000
2.521 2.521 5.193
2.521 2.521 10.153
```

# 4
Diffraction record for Ca2SiPRh6. The XRD peak list is simulated, not measured: it uses the GGA-PBE geometry in Alexandria and a wavelength of 1.5418 Å.
Neutral-atom scattering factors, no anomalous dispersion.

Peak list (12 most intense, 10° ≤ 2θ ≤ 90°, sorted by position)
2θ/deg  I/Imax
19.86  25.6
28.23  2.5
34.76  100.0
40.36  68.2
45.37  11.3
49.98  1.3
58.39  44.6
62.32  5.5
69.78  37.0
73.37  14.7
76.90  2.5
87.24  7.1

Structural model:
```
Ca2SiPRh6
1.0
0.000 4.470 4.470
4.470 0.000 4.470
4.470 4.470 0.000
Ca Si P Rh
2 1 1 6
Cartesian
2.235 2.235 2.235
6.705 6.705 6.705
0.000 0.000 0.000
4.470 4.470 4.470
4.470 4.470 2.262
4.470 2.262 4.470
6.678 4.470 4.470
2.262 4.470 4.470
4.470 6.678 4.470
4.470 4.470 6.678
```

# 5
Diffraction record for LiTi2O4. The XRD peak list is simulated, not measured: it uses the GGA-PBE geometry in Alexandria and a wavelength of 1.5418 Å.
Neutral-atom scattering factors, no anomalous dispersion.

Peak list (12 most intense, 10° ≤ 2θ ≤ 90°, sorted by position)
2θ/deg  I/Imax
19.64  100.0
32.61  42.3
35.51  18.7
36.33  35.4
39.80  22.3
45.10  12.9
50.87  36.5
51.82  18.9
59.53  17.2
62.93  9.1
63.91  12.2
65.41  11.9

Structural model:
```
LiTi2O4
1.0
2.954 0.000 0.000
0.000 5.099 0.000
0.000 0.000 9.777
Li Ti O
2 4 8
Cartesian
0.000 0.955 0.000
0.000 4.143 4.888
0.000 1.194 6.591
0.000 3.904 1.703
1.477 1.386 3.829
1.477 3.713 8.717
0.000 0.177 3.147
0.000 2.267 4.882
0.000 2.831 9.771
0.000 4.922 8.035
1.477 0.196 5.578
1.477 2.300 7.400
1.477 2.799 2.512
1.477 4.902 0.690
```

# 6
Diffraction record for InAsPt. The XRD peak list is simulated, not measured: it uses the GGA-PBE geometry in Alexandria and a wavelength of 1.5418 Å.
Neutral-atom scattering factors, no anomalous dispersion.

Peak list (12 most intense, 10° ≤ 2θ ≤ 90°, sorted by position)
2θ/deg  I/Imax
15.99  21.1
28.31  9.4
32.68  100.0
43.47  45.6
50.11  29.5
57.84  9.3
61.12  16.5
68.47  11.8
72.96  12.6
74.84  7.4
82.86  14.1
89.53  12.2

Structural model:
```
InAsPt
1.0
3.641 0.000 0.000
-1.820 3.153 0.000
0.000 0.000 5.543
In As Pt
1 1 1
Cartesian
0.000 0.000 0.000
0.000 2.102 3.243
1.820 1.051 1.895
```

# 7
Diffraction record for Ba2AlZnF9. The XRD peak list is simulated, not measured: it uses the GGA-PBE geometry in Alexandria and a wavelength of 1.5418 Å.
Neutral-atom scattering factors, no anomalous dispersion.

Peak list (12 most intense, 10° ≤ 2θ ≤ 90°, sorted by position)
2θ/deg  I/Imax
20.33  40.0
24.70  59.0
25.30  100.0
25.73  57.1
28.01  88.6
29.04  32.1
30.31  70.1
31.79  51.2
39.61  37.4
40.74  36.4
41.34  73.9
41.82  55.0

Structural model:
```
Ba2AlZnF9
1.0
18.045 0.000 0.000
0.000 5.629 0.000
0.000 0.000 7.499
Ba Al Zn F
8 4 4 36
Cartesian
0.631 1.407 1.589
3.910 4.222 7.010
5.113 1.407 3.261
8.391 4.222 5.339
9.654 1.407 2.160
12.932 4.222 4.238
14.135 1.407 0.489
17.413 4.222 5.910
2.248 4.222 3.117
6.775 1.407 6.866
11.270 4.222 0.633
15.797 1.407 4.382
1.662 1.407 5.489
7.361 4.222 1.739
10.684 1.407 5.760
16.383 4.222 2.010
0.695 4.222 2.041
1.360 2.917 4.106
1.360 5.527 4.106
1.483 0.001 6.913
1.483 2.813 6.913
2.931 2.900 2.079
2.931 5.545 2.079
3.604 1.407 5.414
3.642 4.222 4.241
5.381 1.407 0.491
5.419 4.222 1.664
6.091 0.085 5.828
6.091 2.730 5.828
7.540 5.628 3.163
7.540 2.816 3.163
7.662 0.103 0.357
7.662 2.712 0.357
8.328 1.407 5.790
9.717 4.222 1.709
10.382 2.917 7.142
10.382 5.527 7.142
10.505 0.001 4.336
10.505 2.813 4.336
11.953 2.900 1.671
11.953 5.545 1.671
12.626 1.407 5.834
12.664 4.222 7.008
14.403 1.407 3.258
14.441 4.222 2.085
15.114 0.085 5.420
15.114 2.730 5.420
16.562 5.628 0.586
16.562 2.816 0.586
16.684 0.103 3.393
16.684 2.712 3.393
17.350 1.407 5.458
```

# 8
Diffraction record for Ca2SmSi3Au12. The XRD peak list is simulated, not measured: it uses the GGA-PBE geometry in Alexandria and a wavelength of 1.5418 Å.
Neutral-atom scattering factors, no anomalous dispersion.

Peak list (12 most intense, 10° ≤ 2θ ≤ 90°, sorted by position)
2θ/deg  I/Imax
19.87  25.7
25.08  25.5
30.02  38.7
30.57  44.2
32.20  75.0
34.16  66.6
36.73  36.5
40.37  100.0
51.11  41.5
60.72  21.5
61.98  26.4
63.87  19.5

Structural model:
```
Ca2SmSi3Au12
1.0
4.469 2.580 5.954
-4.469 2.580 5.954
0.000 -5.160 5.954
Ca Sm Si Au
2 1 3 12
Cartesian
0.000 0.000 1.655
0.000 0.000 16.206
0.000 0.000 8.931
-2.234 -1.290 5.954
-2.234 1.290 11.907
0.000 2.580 5.954
-2.511 -1.450 8.402
0.000 -2.343 6.207
-2.029 1.172 6.207
0.000 -2.900 9.459
-2.511 1.450 9.459
-2.029 -1.172 11.654
2.029 1.172 6.207
2.511 -1.450 8.402
0.000 2.900 8.402
2.029 -1.172 11.654
0.000 2.343 11.654
2.511 1.450 9.459
```

Copy entry 6 word for word.
Diffraction record for InAsPt. The XRD peak list is simulated, not measured: it uses the GGA-PBE geometry in Alexandria and a wavelength of 1.5418 Å.
Neutral-atom scattering factors, no anomalous dispersion.

Peak list (12 most intense, 10° ≤ 2θ ≤ 90°, sorted by position)
2θ/deg  I/Imax
15.99  21.1
28.31  9.4
32.68  100.0
43.47  45.6
50.11  29.5
57.84  9.3
61.12  16.5
68.47  11.8
72.96  12.6
74.84  7.4
82.86  14.1
89.53  12.2

Structural model:
```
InAsPt
1.0
3.641 0.000 0.000
-1.820 3.153 0.000
0.000 0.000 5.543
In As Pt
1 1 1
Cartesian
0.000 0.000 0.000
0.000 2.102 3.243
1.820 1.051 1.895
```

- Which formula does entry 5 have?
  LiTi2O4